Diffraction record for Cd2GeO. The powder XRD pattern is theoretical, not measured: it uses a PBE-relaxed structure and copper Kα.

The 8 most intense peaks (10 to 90 degrees two-theta), most intense first:
(1 1 2), d 3.119, rel. 100; (2 1 1), d 2.672, rel. 39; (2 0 4), d 1.797, rel. 29; (2 2 0), d 2.217, rel. 21; (3 1 2), d 1.807, rel. 21; (3 0 1), d 2.034, rel. 13; (3 2 3), d 1.495, rel. 12; (1 0 3), d 2.650, rel. 10

Structural model:
```
data_Cd2GeO
_cell_length_a 6.2719
_cell_length_b 6.2719
_cell_length_c 8.7730
_cell_angle_alpha 90.00
_cell_angle_beta 90.00
_cell_angle_gamma 90.00
_symmetry_space_group_name_H-M 'I -4 2 d'
_symmetry_Int_Tables_number 122
_symmetry_space_group_name_Hall 'I -4 2bw'
loop_
_atom_site_label
_atom_site_fract_x
_atom_site_fract_y
_atom_site_fract_z
Cd1 0.1820 0.7500 0.1250
Ge1 0.0000 0.0000 0.5000
O1 0.0000 0.0000 0.0000
```